Structure and simulated XRD peak list of ZrH24C8N2Cl6 (a structure optimized by DFT (PBE); Cu Kα).
Intensities are scaled so that the largest is 100.

Top 10 peaks for 2θ = 5–70°, by angle:
two_theta, d_spacing, I/Imax, (hkl)
11.9, 7.459, 100, 1 1 1
19.4, 4.568, 32, 2 2 0
22.8, 3.895, 24, 3 1 1
23.9, 3.729, 13, 2 2 2
27.6, 3.230, 24, 4 0 0
31.0, 2.889, 14, 4 2 0
36.1, 2.486, 28, 5 1 1
41.3, 2.184, 22, 5 3 1
42.0, 2.153, 11, 6 0 0
50.4, 1.809, 17, 5 5 1

Atomic structure:
abc: 12.919 12.919 12.919
angles: 90.00 90.00 90.00
Space group Fm-3m (No. 225)
One atom of each set of equivalent atoms:
Zr 0.000 0.000 0.000 x4
H 0.134 0.134 0.267 x96
C 0.183 0.183 0.317 x32
N 0.250 0.250 0.250 x8
Cl 0.000 0.000 0.193 x24